The following is a calculated X-ray powder pattern of Er10Pb4C3. It was derived from the GGA-PBE geometry in Alexandria, using Cu Kα (λ = 1.5418 Å).
Intensities are scaled so that the largest is 100.

Most intense lines, 2θ from 5° to 70°, in order of falling intensity:
33.1 deg, d = 2.703 Å, I = 100; 37.1 deg, d = 2.421 Å, I = 57; 30.2 deg, d = 2.958 Å, I = 41; 52.5 deg, d = 1.745 Å, I = 31; 64.4 deg, d = 1.446 Å, I = 30; 35.7 deg, d = 2.516 Å, I = 23; 64.2 deg, d = 1.450 Å, I = 20; 53.5 deg, d = 1.712 Å, I = 20; 66.0 deg, d = 1.415 Å, I = 15; 62.7 deg, d = 1.482 Å, I = 11; 28.0 deg, d = 3.191 Å, I = 8; 26.0 deg, d = 3.424 Å, I = 6

Structural model:
```
data_Er10Pb4C3
_chemical_formula_sum 'Er10 Pb4 C3'
_space_group_name_H-M_alt 'P 1'
_space_group_IT_number 1
_cell_length_a 17.943
_cell_length_b 17.943
_cell_length_c 17.943
_cell_angle_alpha 164.49
_cell_angle_beta 164.49
_cell_angle_gamma 22.00
loop_
_space_group_symop_operation_xyz
'x,y,z'
loop_
_atom_site_label
_atom_site_type_symbol
_atom_site_fract_x
_atom_site_fract_y
_atom_site_fract_z
_atom_site_occupancy
Er1 Er 0.000 0.500 0.500 1
Er2 Er 0.069 0.069 0.000 1
Er3 Er 0.138 0.638 0.500 1
Er4 Er 0.208 0.208 0.000 1
Er5 Er 0.362 0.862 0.500 1
Er6 Er 0.500 0.000 0.500 1
Er7 Er 0.638 0.138 0.500 1
Er8 Er 0.792 0.792 0.000 1
Er9 Er 0.862 0.362 0.500 1
Er10 Er 0.931 0.931 0.000 1
Pb1 Pb 0.299 0.299 0.000 1
Pb2 Pb 0.431 0.431 0.000 1
Pb3 Pb 0.569 0.569 0.000 1
Pb4 Pb 0.701 0.701 0.000 1
C1 C 0.000 0.000 0.000 1
C2 C 0.139 0.139 0.000 1
C3 C 0.861 0.861 0.000 1
```

The following is a calculated X-ray powder pattern of Er2ScPbC. It was derived from the GGA-PBE geometry in Alexandria, using Cu Kα (λ = 1.5418 Å).
Intensities are scaled so that the largest is 100.

Most intense lines, 2θ from 5° to 70°, in order of falling intensity:
32.5 deg, d = 2.753 Å, I = 100; 37.0 deg, d = 2.430 Å, I = 38; 63.9 deg, d = 1.458 Å, I = 29; 55.0 deg, d = 1.670 Å, I = 24; 39.2 deg, d = 2.300 Å, I = 16; 26.7 deg, d = 3.341 Å, I = 15; 53.3 deg, d = 1.718 Å, I = 13; 66.8 deg, d = 1.400 Å, I = 13; 68.1 deg, d = 1.377 Å, I = 13; 18.3 deg, d = 4.860 Å, I = 13; 46.2 deg, d = 1.965 Å, I = 7; 41.5 deg, d = 2.174 Å, I = 4

Structural model:
```
data_Er2ScPbC
_chemical_formula_sum 'Er2 Sc1 Pb1 C1'
_space_group_name_H-M_alt 'P 1'
_space_group_IT_number 1
_cell_length_a 4.860
_cell_length_b 4.860
_cell_length_c 4.600
_cell_angle_alpha 90.00
_cell_angle_beta 90.00
_cell_angle_gamma 90.00
loop_
_space_group_symop_operation_xyz
'x,y,z'
loop_
_atom_site_label
_atom_site_type_symbol
_atom_site_fract_x
_atom_site_fract_y
_atom_site_fract_z
_atom_site_occupancy
Er1 Er 0.000 0.500 0.000 1
Er2 Er 0.500 0.000 0.000 1
Sc1 Sc 0.000 0.000 0.500 1
Pb1 Pb 0.500 0.500 0.500 1
C1 C 0.000 0.000 0.000 1
```

The following is a calculated X-ray powder pattern of Er4SnPbC. It was derived from the GGA-PBE geometry in Alexandria, using Cu Kα (λ = 1.5418 Å).
Intensities are scaled so that the largest is 100.

Most intense lines, 2θ from 5° to 70°, in order of falling intensity:
34.9 deg, d = 2.567 Å, I = 100; 28.8 deg, d = 3.100 Å, I = 63; 37.8 deg, d = 2.381 Å, I = 57; 51.7 deg, d = 1.770 Å, I = 36; 66.4 deg, d = 1.408 Å, I = 32; 33.9 deg, d = 2.644 Å, I = 32; 54.5 deg, d = 1.684 Å, I = 20; 65.0 deg, d = 1.435 Å, I = 19; 65.7 deg, d = 1.420 Å, I = 17; 26.5 deg, d = 3.368 Å, I = 16; 62.8 deg, d = 1.480 Å, I = 14; 11.2 deg, d = 7.934 Å, I = 11

Structural model:
```
data_Er4SnPbC
_chemical_formula_sum 'Er8 Sn2 Pb2 C2'
_space_group_name_H-M_alt 'P 1'
_space_group_IT_number 1
_cell_length_a 8.620
_cell_length_b 8.620
_cell_length_c 6.734
_cell_angle_alpha 90.00
_cell_angle_beta 90.00
_cell_angle_gamma 133.99
loop_
_space_group_symop_operation_xyz
'x,y,z'
loop_
_atom_site_label
_atom_site_type_symbol
_atom_site_fract_x
_atom_site_fract_y
_atom_site_fract_z
_atom_site_occupancy
Er1 Er 0.000 0.500 0.000 1
Er2 Er 0.000 0.500 0.500 1
Er3 Er 0.092 0.908 0.750 1
Er4 Er 0.407 0.593 0.750 1
Er5 Er 0.500 0.000 0.000 1
Er6 Er 0.500 0.000 0.500 1
Er7 Er 0.593 0.407 0.250 1
Er8 Er 0.908 0.092 0.250 1
Sn1 Sn 0.109 0.891 0.250 1
Sn2 Sn 0.891 0.109 0.750 1
Pb1 Pb 0.393 0.607 0.250 1
Pb2 Pb 0.607 0.393 0.750 1
C1 C 0.250 0.750 0.750 1
C2 C 0.750 0.250 0.250 1
```

The following is a calculated X-ray powder pattern of Er4TlPbC. It was derived from the GGA-PBE geometry in Alexandria, using Cu Kα (λ = 1.5418 Å).
Intensities are scaled so that the largest is 100.

Most intense lines, 2θ from 5° to 70°, in order of falling intensity:
34.9 deg, d = 2.568 Å, I = 100; 37.5 deg, d = 2.400 Å, I = 58; 28.6 deg, d = 3.116 Å, I = 57; 66.0 deg, d = 1.416 Å, I = 32; 51.7 deg, d = 1.769 Å, I = 30; 65.5 deg, d = 1.426 Å, I = 25; 34.2 deg, d = 2.619 Å, I = 24; 26.3 deg, d = 3.394 Å, I = 22; 62.3 deg, d = 1.490 Å, I = 13; 61.0 deg, d = 1.520 Å, I = 11; 54.0 deg, d = 1.698 Å, I = 10; 54.1 deg, d = 1.696 Å, I = 10

Structural model:
```
data_Er4TlPbC
_chemical_formula_sum 'Er8 Tl2 Pb2 C2'
_space_group_name_H-M_alt 'P 1'
_space_group_IT_number 1
_cell_length_a 8.560
_cell_length_b 8.560
_cell_length_c 6.784
_cell_angle_alpha 90.00
_cell_angle_beta 90.00
_cell_angle_gamma 133.25
loop_
_space_group_symop_operation_xyz
'x,y,z'
loop_
_atom_site_label
_atom_site_type_symbol
_atom_site_fract_x
_atom_site_fract_y
_atom_site_fract_z
_atom_site_occupancy
Er1 Er 0.000 0.500 0.000 1
Er2 Er 0.000 0.500 0.500 1
Er3 Er 0.090 0.910 0.750 1
Er4 Er 0.408 0.592 0.750 1
Er5 Er 0.500 0.000 0.000 1
Er6 Er 0.500 0.000 0.500 1
Er7 Er 0.592 0.408 0.250 1
Er8 Er 0.910 0.090 0.250 1
Tl1 Tl 0.112 0.888 0.250 1
Tl2 Tl 0.888 0.112 0.750 1
Pb1 Pb 0.391 0.609 0.250 1
Pb2 Pb 0.609 0.391 0.750 1
C1 C 0.249 0.751 0.750 1
C2 C 0.751 0.249 0.250 1
```